[1]
Diffraction record for Zr3Ge4Au4. The X-ray diffraction stick pattern is simulated, not measured: it uses the GGA-PBE geometry in OQMD and Cu Kα, 1.54184 Å.
Lines closer than 0.1° are merged.

Structure:
abc: 6.664 4.084 7.955
angles: 90.00 90.00 90.00
Positions (direct):
Zr: 0.000 0.000 0.000
Zr: 0.071 0.500 0.372
Zr: 0.505 0.000 0.880
Ge: 0.280 0.500 0.056
Ge: 0.333 0.000 0.573
Ge: 0.773 0.500 0.806
Ge: 0.790 0.000 0.312
Au: 0.182 0.500 0.737
Au: 0.383 0.000 0.260
Au: 0.687 0.500 0.135
Au: 0.887 0.000 0.620

Top 8 peaks for 2θ = 5–70°, most intense first:
two_theta  intensity
34.7  100
40.6  82
17.4  58
34.2  56
28.0  55
36.6  55
44.4  54
67.2  40


[2]
Diffraction record for Y2H6IrAu. The X-ray diffraction stick pattern is simulated, not measured: it uses the GGA-PBE geometry in OQMD and Cu Kα, 1.54184 Å.
Lines closer than 0.1° are merged.

Structure:
abc: 5.320 5.320 5.320
angles: 60.00 60.00 60.00
Positions (direct):
Y: 0.250 0.250 0.250
Y: 0.750 0.750 0.750
H: 0.231 0.231 0.769
H: 0.231 0.769 0.231
H: 0.231 0.769 0.769
H: 0.769 0.231 0.231
H: 0.769 0.231 0.769
H: 0.769 0.769 0.231
Ir: 0.000 0.000 0.000
Au: 0.500 0.500 0.500

Top 6 peaks for 2θ = 5–70°, most intense first:
two_theta  intensity
33.7  100
60.3  38
48.4  19
23.7  16
54.6  7
41.6  5


[3]
Diffraction record for Li3P4HAu2O14. The X-ray diffraction stick pattern is simulated, not measured: it uses the GGA-PBE geometry in OQMD and Cu Kα, 1.54184 Å.
Lines closer than 0.1° are merged.

Structure:
abc: 4.951 5.063 12.412
angles: 91.20 98.80 116.44
Positions (direct):
Li: 0.000 0.000 0.000
Li: 0.384 0.224 0.533
Li: 0.616 0.776 0.467
P: 0.096 0.599 0.637
P: 0.304 0.613 0.874
P: 0.696 0.387 0.126
P: 0.904 0.401 0.363
H: 0.500 0.000 0.000
Au: 0.192 0.978 0.261
Au: 0.808 0.022 0.739
O: 0.100 0.294 0.629
O: 0.124 0.681 0.768
O: 0.169 0.277 0.879
O: 0.203 0.410 0.417
O: 0.264 0.779 0.970
O: 0.356 0.257 0.136
O: 0.386 0.850 0.604
O: 0.614 0.150 0.396
O: 0.644 0.743 0.864
O: 0.736 0.221 0.030
O: 0.797 0.590 0.583
O: 0.831 0.723 0.121
O: 0.876 0.319 0.232
O: 0.900 0.706 0.371

Top 8 peaks for 2θ = 5–70°, most intense first:
two_theta  intensity
14.5  100
21.6  76
22.8  70
32.7  36
36.4  31
25.7  31
23.3  29
20.4  28


[4]
Diffraction record for Na3P4HAu2O14. The X-ray diffraction stick pattern is simulated, not measured: it uses the GGA-PBE geometry in OQMD and Cu Kα, 1.54184 Å.
Lines closer than 0.1° are merged.

Structure:
abc: 5.338 5.433 12.743
angles: 96.68 95.34 119.42
Positions (direct):
Na: 0.000 0.000 0.000
Na: 0.340 0.199 0.536
Na: 0.660 0.801 0.464
P: 0.070 0.563 0.641
P: 0.268 0.581 0.867
P: 0.732 0.419 0.133
P: 0.930 0.437 0.359
H: 0.000 0.500 0.000
Au: 0.249 0.020 0.261
Au: 0.751 0.980 0.739
O: 0.087 0.300 0.407
O: 0.100 0.771 0.387
O: 0.104 0.649 0.771
O: 0.145 0.255 0.852
O: 0.193 0.694 0.968
O: 0.383 0.676 0.616
O: 0.405 0.265 0.137
O: 0.595 0.735 0.863
O: 0.617 0.324 0.384
O: 0.807 0.306 0.032
O: 0.855 0.745 0.148
O: 0.896 0.351 0.229
O: 0.900 0.229 0.613
O: 0.913 0.700 0.593

Top 8 peaks for 2θ = 5–70°, most intense first:
two_theta  intensity
20.5  100
14.2  96
31.5  88
20.3  87
21.6  42
19.4  40
33.0  38
37.6  37


[5]
Diffraction record for HAuO2. The X-ray diffraction stick pattern is simulated, not measured: it uses the GGA-PBE geometry in OQMD and Cu Kα, 1.54184 Å.
Lines closer than 0.1° are merged.

Structure:
abc: 4.052 4.676 5.449
angles: 92.37 90.33 114.40
Positions (direct):
H: 0.076 0.013 0.251
H: 0.924 0.987 0.749
Au: 0.000 0.500 0.500
Au: 0.500 0.500 0.000
O: 0.038 0.274 0.799
O: 0.249 0.278 0.301
O: 0.751 0.722 0.699
O: 0.962 0.726 0.201

Top 8 peaks for 2θ = 5–70°, most intense first:
two_theta  intensity
20.9  100
29.6  45
29.8  45
28.9  36
29.4  35
42.6  31
38.4  25
32.9  23


[6]
Diffraction record for HAuS. The X-ray diffraction stick pattern is simulated, not measured: it uses the GGA-PBE geometry in OQMD and Cu Kα, 1.54184 Å.
Lines closer than 0.1° are merged.

Structure:
abc: 5.163 4.752 4.752
angles: 97.58 90.00 90.00
Positions (direct):
H: 0.120 0.250 0.750
H: 0.880 0.750 0.250
Au: 0.500 0.309 0.309
Au: 0.500 0.809 0.809
S: 0.209 0.044 0.544
S: 0.791 0.544 0.044

Top 8 peaks for 2θ = 5–70°, most intense first:
two_theta  intensity
17.2  100
30.4  64
42.2  52
28.5  46
33.5  42
52.6  33
24.9  31
43.2  29


[7]
Diffraction record for ThHAu. The X-ray diffraction stick pattern is simulated, not measured: it uses the GGA-PBE geometry in OQMD and Cu Kα, 1.54184 Å.
Lines closer than 0.1° are merged.

Structure:
abc: 12.391 4.421 3.957
angles: 90.00 90.00 90.00
Positions (direct):
Th: 0.150 0.250 0.001
Th: 0.350 0.750 0.501
Th: 0.650 0.250 0.499
Th: 0.850 0.750 0.999
H: 0.244 0.750 0.001
H: 0.256 0.250 0.501
H: 0.744 0.750 0.499
H: 0.756 0.250 0.999
Au: 0.072 0.750 0.501
Au: 0.428 0.250 0.001
Au: 0.572 0.750 0.999
Au: 0.928 0.250 0.499

Top 8 peaks for 2θ = 5–70°, most intense first:
two_theta  intensity
31.2  100
37.5  62
35.4  53
31.3  45
40.8  31
59.2  25
28.8  22
57.0  22